Simulated powder diffraction line list
Compound: Tb2HfBi2N2
Radiation: Cu Kα X-rays
Structure: the GGA-PBE geometry in Alexandria

Structural model:
```
data_Tb2HfBi2N2
_chemical_formula_sum 'Tb4 Hf2 Bi4 N4'
_cell_length_a 4.217
_cell_length_b 4.217
_cell_length_c 16.785
_cell_angle_alpha 90.00
_cell_angle_beta 90.00
_cell_angle_gamma 90.00
_symmetry_space_group_name_H-M 'I 4/m m m'
_symmetry_Int_Tables_number 139
_symmetry_space_group_name_Hall '-I 4 2'
loop_
_atom_site_label
_atom_site_type_symbol
_atom_site_fract_x
_atom_site_fract_y
_atom_site_fract_z
Tb1 Tb 0.000 0.000 0.094
Hf1 Hf 0.000 0.000 0.500
Bi1 Bi 0.000 0.000 0.310
N1 N 0.000 0.500 0.000
```

Most intense lines, 2θ from 10° to 90°, low angle first:
(hkl), 2theta, I (rel.)
1 1 0, 30.0, 70
1 0 5, 34.1, 100
2 0 0, 42.9, 30
0 0 10, 54.7, 6
2 1 5, 55.9, 50
2 2 0, 62.3, 10
1 1 10, 63.6, 13
3 1 0, 70.6, 13
2 0 10, 71.9, 10
3 0 5, 73.0, 11
2 2 10, 87.5, 6
3 2 5, 88.5, 15